Structure and theoretical PXRD pattern of SrU3Se2O18 (DFT lattice parameters and positions (GGA-PBE); CuKα).
Neutral-atom scattering factors, no anomalous dispersion.

Peak list (10 most intense, 2θ = 15–90°, low angle first)
- hkl 2 0 -1, 15.25 deg, rel. 44
- hkl 0 2 0, 24.95 deg, rel. 64
- hkl 3 1 1, 25.14 deg, rel. 47
- hkl 0 0 2, 25.97 deg, rel. 54
- hkl 2 0 -2, 26.44 deg, rel. 33
- hkl 0 2 1, 28.18 deg, rel. 97
- hkl 5 1 0, 28.97 deg, rel. 100
- hkl 5 1 -1, 30.06 deg, rel. 74
- hkl 5 1 1, 33.52 deg, rel. 49
- hkl 5 3 0, 46.50 deg, rel. 46

Cell and atoms:
```
data_SrU3Se2O18
_chemical_formula_sum 'Sr2 U6 Se4 O36'
_cell_length_a 17.295
_cell_length_b 7.138
_cell_length_c 6.947
_cell_angle_alpha 90.00
_cell_angle_beta 99.01
_cell_angle_gamma 90.00
_symmetry_space_group_name_H-M 'C 1 2 1'
_symmetry_Int_Tables_number 5
_symmetry_space_group_name_Hall 'C 2y'
loop_
_atom_site_label
_atom_site_fract_x
_atom_site_fract_y
_atom_site_fract_z
_atom_site_occupancy
Sr1 0.000 0.000 0.000 1
U1 0.000 0.668 0.500 1
U2 0.107 0.165 0.547 1
Se1 0.206 0.664 0.615 1
O1 0.000 0.351 0.500 1
O2 0.000 0.688 0.235 1
O3 0.000 0.983 0.500 1
O4 0.104 0.153 0.278 1
O5 0.104 0.153 0.813 1
O6 0.135 0.837 0.558 1
O7 0.136 0.491 0.561 1
O8 0.193 0.822 0.035 1
O9 0.245 0.163 0.582 1
O10 0.249 0.914 0.997 1
```